No. 1
Diffraction record for Ca2ZrSc. The powder XRD pattern is theoretical, not measured: it uses a crystal structure in Alexandria, relaxed with GGA-PBE and λ = 1.5418 Å (Cu Kα).
Lines closer than 0.1° are merged.

Structural model:
```
Ca2ZrSc
1.0
3.517 0.000 0.000
0.000 5.989 0.000
0.000 0.000 11.632
Ca Zr Sc
4 2 2
direct
0.000 0.000 0.000
0.000 0.500 0.226
0.500 0.000 0.726
0.500 0.500 0.500
0.000 0.000 0.469
0.500 0.500 0.969
0.000 0.500 0.760
0.500 0.000 0.260
```

Main lines, in order of rising 2θ (15 to 90 degrees two-theta):
| d_spacing | 2θ (°) | intensity |
| --- | --- | --- |
| 5.816 | 15.23 | 9 |
| 5.324 | 16.65 | 22 |
| 2.994 | 29.84 | 36 |
| 2.908 | 30.75 | 27 |
| 2.689 | 33.32 | 100 |
| 2.086 | 43.37 | 20 |
| 1.664 | 55.22 | 21 |
| 1.633 | 56.32 | 13 |
| 1.516 | 61.13 | 10 |
| 1.344 | 70.00 | 12 |

***

No. 2
Diffraction record for SmBeO3. The powder XRD pattern is theoretical, not measured: it uses a crystal structure in Alexandria, relaxed with GGA-PBE and λ = 1.5418 Å (Cu Kα).
Lines closer than 0.1° are merged.

Structural model:
```
SmBeO3
1.0
3.589 0.000 0.000
0.000 6.880 0.000
-0.006 0.000 5.481
Sm Be O
2 2 6
direct
0.250 0.250 0.076
0.750 0.750 0.924
0.250 0.750 0.389
0.750 0.250 0.611
0.249 0.750 0.661
0.250 0.591 0.187
0.250 0.909 0.187
0.750 0.091 0.813
0.750 0.409 0.813
0.751 0.250 0.339
```

Main lines, in order of rising 2θ (15 to 90 degrees two-theta):
| d_spacing | 2θ (°) | intensity |
| --- | --- | --- |
| 5.481 | 16.17 | 100 |
| 4.287 | 20.72 | 24 |
| 3.440 | 25.90 | 48 |
| 3.182 | 28.04 | 35 |
| 3.002 | 29.76 | 22 |
| 2.914 | 30.68 | 32 |
| 2.752 | 32.54 | 82 |
| 2.178 | 41.46 | 25 |
| 2.076 | 43.59 | 20 |
| 1.823 | 50.05 | 31 |

***

No. 3
Diffraction record for Pd2Au. The powder XRD pattern is theoretical, not measured: it uses a crystal structure in Alexandria, relaxed with GGA-PBE and λ = 1.5418 Å (Cu Kα).
Lines closer than 0.1° are merged.

Structural model:
```
Pd2Au
1.0
2.841 0.000 0.000
0.000 4.014 0.000
0.000 0.000 8.537
Pd Au
4 2
direct
0.000 0.000 0.168
0.000 0.000 0.832
0.500 0.500 0.332
0.500 0.500 0.668
0.000 0.000 0.500
0.500 0.500 0.000
```

Main lines, in order of rising 2θ (15 to 90 degrees two-theta):
| d_spacing | 2θ (°) | intensity |
| --- | --- | --- |
| 4.269 | 20.81 | 5 |
| 3.633 | 24.50 | 7 |
| 2.320 | 38.81 | 100 |
| 2.009 | 45.12 | 49 |
| 1.423 | 65.61 | 5 |
| 1.420 | 65.74 | 26 |
| 1.212 | 78.98 | 25 |
| 1.211 | 79.10 | 13 |
| 1.161 | 83.23 | 6 |
| 1.160 | 83.34 | 6 |

***

No. 4
Diffraction record for Ba3Ce2O6. The powder XRD pattern is theoretical, not measured: it uses a crystal structure in Alexandria, relaxed with GGA-PBE and λ = 1.5418 Å (Cu Kα).
Lines closer than 0.1° are merged.

Structural model:
```
Ba3Ce2O6
1.0
-2.270 2.270 10.991
2.270 -2.270 10.991
2.270 2.270 -10.991
Ba Ce O
3 2 6
direct
0.000 0.000 0.000
0.184 0.184 0.000
0.816 0.816 0.000
0.400 0.400 0.000
0.600 0.600 0.000
0.088 0.588 0.500
0.299 0.299 0.000
0.412 0.912 0.500
0.588 0.088 0.500
0.701 0.701 0.000
0.912 0.412 0.500
```

Main lines, in order of rising 2θ (15 to 90 degrees two-theta):
| d_spacing | 2θ (°) | intensity |
| --- | --- | --- |
| 3.211 | 27.79 | 58 |
| 3.158 | 28.26 | 100 |
| 2.270 | 39.70 | 32 |
| 2.198 | 41.06 | 10 |
| 1.843 | 49.44 | 43 |
| 1.814 | 50.31 | 16 |
| 1.605 | 57.40 | 11 |
| 1.579 | 58.44 | 13 |
| 1.436 | 64.95 | 11 |
| 1.211 | 79.10 | 11 |